The following is a calculated powder XRD pattern of BaBiAu4. It was derived from a cell relaxed with GGA-PBE, using a wavelength of 1.5418 Å.
Intensities are scaled so that the largest is 100.

Structural model:
abc: 4.3926 7.8588 9.0261
angles: 90.00 90.00 90.00
Space group Immm (No. 71)
Unique sites:
Ba  0.0000  0.0000  0.0000
Bi  0.0000  0.5000  0.0000
Au  0.0000  0.2041  0.3378

Top 10 peaks for 2θ = 10–90°, low angle first:
2θ/deg  I (rel.)  h k l
14.95  22.9  0 1 1
30.16  50.7  0 2 2
32.13  100.0  1 2 1
36.19  98.7  1 0 3
40.08  27.2  1 3 0
41.10  35.0  2 0 0
45.93  18.5  0 3 3
46.40  20.9  0 2 4
51.81  22.8  2 2 2
63.69  16.4  2 2 4